Simulated PXRD pattern of NaCaHfBiO6 for λ = 1.5418 Å (Cu Kα), from the PBE geometry in the Materials Project.

Peak list (8 most intense, 10° ≤ 2θ ≤ 90°, low angle first)
2theta  intensity
21.47  84
30.55  100
43.75  32
49.23  38
54.29  41
63.59  20
67.95  18
88.37  22

Atomic structure:
Cell: 5.8529 5.8529 5.8529 Å, 60.00 60.00 60.00°
Sites, in units of the cell vectors:
Na: 0.0000 0.0000 0.0000
Ca: 0.5000 0.5000 0.5000
Hf: 0.7500 0.7500 0.7500
Bi: 0.2500 0.2500 0.2500
O: 0.5024 0.5024 0.9976
O: 0.5024 0.9976 0.5024
O: 0.5024 0.9976 0.9976
O: 0.9976 0.5024 0.5024
O: 0.9976 0.5024 0.9976
O: 0.9976 0.9976 0.5024


Simulated PXRD pattern of KCaSnBiO6 for λ = 1.5418 Å (Cu Kα), from the PBE geometry in the Materials Project.

Peak list (8 most intense, 10° ≤ 2θ ≤ 90°, low angle first)
2theta  intensity
21.34  64
30.35  100
43.46  34
48.91  30
53.93  41
63.15  21
71.66  18
87.68  23

Atomic structure:
Cell: 5.8894 5.8894 5.8894 Å, 60.00 60.00 60.00°
Sites, in units of the cell vectors:
K: 0.0000 0.0000 0.0000
Ca: 0.5000 0.5000 0.5000
Sn: 0.2500 0.2500 0.2500
Bi: 0.7500 0.7500 0.7500
O: 0.0029 0.0029 0.4971
O: 0.0029 0.4971 0.0029
O: 0.0029 0.4971 0.4971
O: 0.4971 0.0029 0.0029
O: 0.4971 0.0029 0.4971
O: 0.4971 0.4971 0.0029


Simulated PXRD pattern of KCaTiBiO6 for λ = 1.5418 Å (Cu Kα), from the PBE geometry in the Materials Project.

Peak list (8 most intense, 10° ≤ 2θ ≤ 90°, low angle first)
2theta  intensity
18.90  53
21.86  54
31.10  100
36.65  37
44.56  36
50.16  24
55.34  39
64.85  22

Atomic structure:
Cell: 5.7507 5.7507 5.7507 Å, 60.00 60.00 60.00°
Sites, in units of the cell vectors:
K: 0.0000 0.0000 0.0000
Ca: 0.5000 0.5000 0.5000
Ti: 0.7500 0.7500 0.7500
Bi: 0.2500 0.2500 0.2500
O: 0.5087 0.5087 0.9913
O: 0.5087 0.9913 0.5087
O: 0.5087 0.9913 0.9913
O: 0.9913 0.5087 0.5087
O: 0.9913 0.5087 0.9913
O: 0.9913 0.9913 0.5087


Simulated PXRD pattern of KCaZrBiO6 for λ = 1.5418 Å (Cu Kα), from the PBE geometry in the Materials Project.

Peak list (8 most intense, 10° ≤ 2θ ≤ 90°, low angle first)
2theta  intensity
18.31  21
21.18  61
30.12  100
43.12  35
48.52  28
53.50  40
62.63  21
86.87  21

Atomic structure:
Cell: 5.9335 5.9335 5.9335 Å, 60.00 60.00 60.00°
Sites, in units of the cell vectors:
K: 0.0000 0.0000 0.0000
Ca: 0.5000 0.5000 0.5000
Zr: 0.2500 0.2500 0.2500
Bi: 0.7500 0.7500 0.7500
O: 0.0010 0.0010 0.4990
O: 0.0010 0.4990 0.0010
O: 0.0010 0.4990 0.4990
O: 0.4990 0.0010 0.0010
O: 0.4990 0.0010 0.4990
O: 0.4990 0.4990 0.0010


Simulated PXRD pattern of SrCaLaBiO6 for λ = 1.5418 Å (Cu Kα), from the PBE geometry in the Materials Project.

Peak list (8 most intense, 10° ≤ 2θ ≤ 90°, low angle first)
2theta  intensity
17.99  33
29.58  100
34.84  20
42.33  32
52.49  41
61.40  20
69.62  18
84.98  22

Atomic structure:
Cell: 6.0396 6.0396 6.0396 Å, 60.00 60.00 60.00°
Sites, in units of the cell vectors:
Sr: 0.0000 0.0000 0.0000
Ca: 0.2500 0.2500 0.2500
La: 0.5000 0.5000 0.5000
Bi: 0.7500 0.7500 0.7500
O: 0.5063 0.5063 0.9937
O: 0.5063 0.9937 0.5063
O: 0.5063 0.9937 0.9937
O: 0.9937 0.5063 0.5063
O: 0.9937 0.5063 0.9937
O: 0.9937 0.9937 0.5063


Simulated PXRD pattern of SrCaLaBiO6 for λ = 1.5418 Å (Cu Kα), from the PBE geometry in the Materials Project.

Peak list (8 most intense, 10° ≤ 2θ ≤ 90°, low angle first)
2theta  intensity
18.05  55
29.57  100
29.90  61
35.14  20
42.79  28
52.27  26
52.88  49
61.39  18

Atomic structure:
Cell: 5.9771 5.9771 8.6366 Å, 90.00 90.00 90.00°
Sites, in units of the cell vectors:
Sr: 0.0000 0.5000 0.2500
Sr: 0.5000 0.0000 0.7500
Ca: 0.0000 0.0000 0.0000
Ca: 0.5000 0.5000 0.5000
La: 0.0000 0.5000 0.7500
La: 0.5000 0.0000 0.2500
Bi: 0.0000 0.0000 0.5000
Bi: 0.5000 0.5000 0.0000
O: 0.0000 0.0000 0.2564
O: 0.0000 0.0000 0.7436
O: 0.1570 0.3200 0.5134
O: 0.1800 0.3430 0.9866
O: 0.3200 0.8430 0.4866
O: 0.3430 0.8200 0.0134
O: 0.5000 0.5000 0.2436
O: 0.5000 0.5000 0.7564
O: 0.6570 0.1800 0.0134
O: 0.6800 0.1570 0.4866
O: 0.8200 0.6570 0.9866
O: 0.8430 0.6800 0.5134


Simulated PXRD pattern of SrCaLaBiO6 for λ = 1.5418 Å (Cu Kα), from the PBE geometry in the Materials Project.

Peak list (8 most intense, 10° ≤ 2θ ≤ 90°, low angle first)
2theta  intensity
18.01  47
29.59  100
29.66  50
34.83  18
42.29  28
52.49  47
52.67  24
61.56  16

Atomic structure:
Cell: 8.4961 8.5418 8.5558 Å, 90.00 90.00 90.00°
Sites, in units of the cell vectors:
Sr: 0.2500 0.2500 0.2500
Sr: 0.2500 0.7500 0.7500
Sr: 0.7500 0.2500 0.2500
Sr: 0.7500 0.7500 0.7500
Ca: 0.0000 0.0000 0.0000
Ca: 0.0000 0.5000 0.5000
Ca: 0.5000 0.0000 0.5000
Ca: 0.5000 0.5000 0.0000
La: 0.2500 0.2500 0.7500
La: 0.2500 0.7500 0.2500
La: 0.7500 0.2500 0.7500
La: 0.7500 0.7500 0.2500
Bi: 0.0000 0.0000 0.5000
Bi: 0.0000 0.5000 0.0000
Bi: 0.5000 0.0000 0.0000
Bi: 0.5000 0.5000 0.5000
O: 0.0406 0.2409 0.5623
O: 0.0406 0.2591 0.9377
O: 0.0532 0.0314 0.2609
O: 0.0532 0.4686 0.2391
O: 0.2399 0.5541 0.9658
O: 0.2399 0.9459 0.5342
O: 0.2601 0.5541 0.5342
O: 0.2601 0.9459 0.9658
O: 0.4468 0.0314 0.2391
O: 0.4468 0.4686 0.2609
O: 0.4594 0.2409 0.9377
O: 0.4594 0.2591 0.5623
O: 0.5406 0.7409 0.4377
O: 0.5406 0.7591 0.0623
O: 0.5532 0.5314 0.7391
O: 0.5532 0.9686 0.7609
O: 0.7399 0.0541 0.0342
O: 0.7399 0.4459 0.4658
O: 0.7601 0.0541 0.4658
O: 0.7601 0.4459 0.0342
O: 0.9468 0.5314 0.7609
O: 0.9468 0.9686 0.7391
O: 0.9594 0.7409 0.0623
O: 0.9594 0.7591 0.4377


Simulated PXRD pattern of SrCaLaBiO6 for λ = 1.5418 Å (Cu Kα), from the PBE geometry in the Materials Project.

Peak list (8 most intense, 10° ≤ 2θ ≤ 90°, low angle first)
2theta  intensity
17.83  27
18.28  27
29.14  22
29.69  100
30.26  23
42.49  35
52.01  14
53.40  24

Atomic structure:
Cell: 5.9068 6.1288 10.3574 Å, 90.00 124.69 90.00°
Sites, in units of the cell vectors:
Sr: 0.0000 0.2004 0.0000
Sr: 0.0000 0.7996 0.5000
Ca: 0.7351 0.2438 0.2486
Ca: 0.7351 0.7562 0.7486
La: 0.4690 0.3105 0.4996
La: 0.4690 0.6895 0.9996
Bi: 0.2350 0.2477 0.7484
Bi: 0.2350 0.7523 0.2484
O: 0.0040 0.4463 0.8038
O: 0.0040 0.5537 0.3038
O: 0.1298 0.0494 0.3113
O: 0.1298 0.9506 0.8113
O: 0.3662 0.4677 0.1850
O: 0.3662 0.5323 0.6850
O: 0.4742 0.0706 0.6871
O: 0.4742 0.9294 0.1871
O: 0.5774 0.3039 0.9874
O: 0.5774 0.6961 0.4874
O: 0.8731 0.2067 0.5118
O: 0.8731 0.7933 0.0118